Diffraction record for K5MnO3. The powder diffractogram is calculated, not measured: it uses a cell relaxed with PBE+U and Cu Kα (weighted mean of Kα1 and Kα2).

Structure:
abc: 11.114 6.554 6.554
angles: 90.31 90.00 90.00
Element x y z (fractional)
1 K 0.000 0.000 0.000
2 K 0.000 0.380 0.380
3 K 0.174 0.530 0.901
4 K 0.174 0.901 0.530
5 K 0.339 0.387 0.387
6 K 0.500 0.584 0.944
7 K 0.500 0.944 0.584
8 K 0.661 0.387 0.387
9 K 0.826 0.530 0.901
10 K 0.826 0.901 0.530
11 Mn 0.337 0.045 0.045
12 Mn 0.663 0.045 0.045
13 O 0.000 0.667 0.667
14 O 0.192 0.181 0.181
15 O 0.327 0.832 0.832
16 O 0.500 0.166 0.166
17 O 0.673 0.832 0.832
18 O 0.808 0.181 0.181

Most intense lines, 2θ = 5–70°, low angle first:
2θ/deg	I/Imax
13.5	13
19.1	22
27.2	26
27.7	13
30.4	37
30.6	25
30.9	100
39.2	12
48.4	32
59.0	15